# 1
Calculated powder diffractogram of BaSrZrO4 for CuKα, from a PBE-relaxed structure.

The 8 most intense peaks (2θ = 10–90°), low angle first:
(1 0 3), 2θ 29.32, intensity 100; (1 1 0), 2θ 30.01, intensity 66; (1 1 4), 2θ 40.76, intensity 13; (0 0 6), 2θ 40.91, intensity 15; (2 0 0), 2θ 42.95, intensity 35; (1 1 6), 2θ 51.56, intensity 19; (2 1 3), 2θ 52.85, intensity 39; (2 0 6), 2θ 60.81, intensity 17

Atomic structure:
Unit cell a=4.211 b=4.211 c=13.237 alpha=90.00 beta=90.00 gamma=90.00
Space group I4mm (No. 107)
Asymmetric unit:
Ba 0.000 0.000 0.000 [2 per cell]
Sr 0.000 0.000 0.706 [2 per cell]
Zr 0.000 0.000 0.350 [2 per cell]
O 0.000 0.000 0.191 [2 per cell]
O 0.000 0.000 0.515 [2 per cell]
O 0.000 0.500 0.347 [4 per cell]

=====

# 2
Calculated powder diffractogram of BeGa2As for CuKα, from a PBE-relaxed structure.

The 8 most intense peaks (2θ = 10–90°), low angle first:
(1 0 1), 2θ 17.56, intensity 18; (1 1 2), 2θ 28.05, intensity 100; (2 1 1), 2θ 35.35, intensity 15; (2 2 0), 2θ 43.58, intensity 27; (2 0 4), 2θ 48.08, intensity 41; (3 1 2), 2θ 52.63, intensity 32; (1 1 6), 2θ 60.37, intensity 11; (4 2 4), 2θ 83.28, intensity 15

Atomic structure:
Unit cell a=5.874 b=5.874 c=9.898 alpha=90.00 beta=90.00 gamma=90.00
Space group I-42d (No. 122)
Asymmetric unit:
Be 0.000 0.000 0.000 [4 per cell]
Ga 0.230 0.250 0.125 [8 per cell]
As 0.000 0.000 0.500 [4 per cell]

=====

# 3
Calculated powder diffractogram of Pm11Dy4Er9 for CuKα, from a PBE-relaxed structure.

The 8 most intense peaks (2θ = 10–90°), low angle first:
(4 6 0), 2θ 29.85, intensity 100; (2 4 1), 2θ 30.13, intensity 30; (3 3 1), 2θ 31.05, intensity 30; (1 9 0), 2θ 31.99, intensity 26; (0 6 1), 2θ 32.31, intensity 83; (4 0 1), 2θ 32.45, intensity 84; (0 0 2), 2θ 49.98, intensity 23; (4 6 2), 2θ 59.31, intensity 29

Atomic structure:
Unit cell a=16.856 b=25.535 c=3.650 alpha=90.00 beta=90.00 gamma=90.00
Space group Cmmm (No. 65)
Asymmetric unit:
Pm 0.000 0.000 0.000 [2 per cell]
Pm 0.000 0.160 0.000 [4 per cell]
Pm 0.000 0.368 0.000 [4 per cell]
Pm 0.208 0.500 0.000 [4 per cell]
Pm 0.225 0.181 0.000 [8 per cell]
Dy 0.157 0.398 0.500 [8 per cell]
Er 0.000 0.500 0.500 [2 per cell]
Er 0.102 0.267 0.500 [8 per cell]
Er 0.141 0.073 0.500 [8 per cell]

=====

# 4
Calculated powder diffractogram of Pr4Cd5Sn6 for CuKα, from a PBE-relaxed structure.

The 8 most intense peaks (2θ = 10–90°), low angle first:
(1 5 0), 2θ 28.46, intensity 31; (1 5 1), 2θ 28.97, intensity 21; (0 0 6), 2θ 31.51, intensity 19; (1 5 3), 2θ 32.64, intensity 100; (1 5 4), 2θ 35.57, intensity 19; (2 0 0), 2θ 37.82, intensity 46; (1 7 4), 2θ 41.61, intensity 19; (1 3 7), 2θ 43.78, intensity 20

Atomic structure:
Unit cell a=4.758 b=20.827 c=17.033 alpha=90.00 beta=90.00 gamma=90.00
Space group Cmc2_1 (No. 36)
Asymmetric unit:
Pr 0.000 0.023 0.000 [4 per cell]
Pr 0.000 0.034 0.267 [4 per cell]
Pr 0.000 0.164 0.802 [4 per cell]
Pr 0.000 0.174 0.446 [4 per cell]
Cd 0.000 0.153 0.129 [4 per cell]
Cd 0.000 0.303 0.123 [4 per cell]
Cd 0.000 0.346 0.780 [4 per cell]
Cd 0.000 0.348 0.486 [4 per cell]
Cd 0.000 0.434 0.193 [4 per cell]
Sn 0.000 0.106 0.615 [4 per cell]
Sn 0.000 0.226 0.980 [4 per cell]
Sn 0.000 0.232 0.271 [4 per cell]
Sn 0.000 0.431 0.919 [4 per cell]
Sn 0.000 0.435 0.632 [4 per cell]
Sn 0.000 0.440 0.360 [4 per cell]